For HfZnN2, a DFT-relaxed cell (GGA-PBE, the Materials Project) gives the calculated X-ray powder pattern in this record (Cu Kα, 1.54184 Å).
No peak broadening, texture or thermal motion is included.

Cell and atoms:
```
HfZnN2
1.0
3.265 0.000 0.000
-1.633 2.828 0.000
0.000 0.000 5.321
Hf Zn N
1 1 2
Direct
0.000 0.000 0.000
0.333 0.667 0.551
0.333 0.667 0.184
0.667 0.333 0.748
```

Most intense lines, 15 to 90 degrees two-theta, in order of rising 2θ:
| d/Å | 2θ/deg | I (rel.) |
| --- | --- | --- |
| 5.321 | 16.66 | 32 |
| 2.828 | 31.64 | 30 |
| 2.661 | 33.68 | 20 |
| 2.497 | 35.97 | 100 |
| 1.938 | 46.89 | 31 |
| 1.633 | 56.36 | 21 |
| 1.503 | 61.73 | 21 |
| 1.392 | 67.29 | 17 |
| 1.366 | 68.69 | 15 |
| 1.106 | 88.42 | 8 |

For Li4SnP6O18, a DFT-relaxed cell (GGA-PBE, the Materials Project) gives the calculated X-ray powder pattern in this record (Cu Kα, 1.54184 Å).
No peak broadening, texture or thermal motion is included.

Cell and atoms:
```
Li4SnP6O18
1.0
6.211 -4.051 0.000
6.211 4.051 0.000
-1.001 0.000 14.463
Li Sn P O
8 2 12 36
Direct
0.071 0.267 0.449
0.179 0.467 0.069
0.267 0.071 0.949
0.467 0.179 0.569
0.533 0.821 0.431
0.733 0.929 0.051
0.821 0.533 0.931
0.929 0.733 0.551
0.129 0.871 0.250
0.871 0.129 0.750
0.117 0.730 0.898
0.134 0.431 0.757
0.270 0.883 0.602
0.356 0.458 0.392
0.431 0.134 0.257
0.458 0.356 0.892
0.542 0.644 0.108
0.569 0.866 0.743
0.644 0.542 0.608
0.730 0.117 0.398
0.866 0.569 0.243
0.883 0.270 0.102
0.003 0.321 0.036
0.024 0.349 0.816
0.063 0.899 0.604
0.075 0.662 0.792
0.101 0.937 0.896
0.123 0.415 0.655
0.252 0.399 0.462
0.317 0.672 0.379
0.321 0.003 0.536
0.328 0.683 0.121
0.333 0.367 0.290
0.338 0.925 0.708
0.349 0.024 0.316
0.349 0.592 0.913
0.367 0.333 0.790
0.399 0.252 0.962
0.408 0.651 0.587
0.415 0.123 0.155
0.585 0.877 0.845
0.592 0.349 0.413
0.601 0.748 0.038
0.633 0.667 0.210
0.651 0.408 0.087
0.651 0.976 0.684
0.662 0.075 0.292
0.667 0.633 0.710
0.672 0.317 0.879
0.679 0.997 0.464
0.683 0.328 0.621
0.748 0.601 0.538
0.877 0.585 0.345
0.899 0.063 0.104
0.925 0.338 0.208
0.937 0.101 0.396
0.976 0.651 0.184
0.997 0.679 0.964
```

Most intense lines, 15 to 90 degrees two-theta, in order of rising 2θ:
| d/Å | 2θ/deg | I (rel.) |
| --- | --- | --- |
| 5.043 | 17.59 | 49 |
| 4.873 | 18.21 | 29 |
| 4.553 | 19.50 | 33 |
| 4.002 | 22.22 | 37 |
| 3.901 | 22.79 | 27 |
| 3.680 | 24.18 | 29 |
| 3.620 | 24.59 | 44 |
| 3.365 | 26.49 | 41 |
| 3.101 | 28.79 | 100 |
| 2.407 | 37.36 | 47 |

For Ba3Sr3Bi2N2, a DFT-relaxed cell (GGA-PBE, the Materials Project) gives the calculated X-ray powder pattern in this record (Cu Kα, 1.54184 Å).
No peak broadening, texture or thermal motion is included.

Cell and atoms:
```
Ba3Sr3Bi2N2
1.0
7.639 0.000 0.000
-3.820 6.616 0.000
0.000 0.000 12.794
Ba Sr Bi N
6 6 4 4
Direct
0.175 0.350 0.250
0.175 0.825 0.250
0.350 0.175 0.750
0.650 0.825 0.250
0.825 0.175 0.750
0.825 0.650 0.750
0.000 0.500 0.000
0.000 0.500 0.500
0.500 0.000 0.000
0.500 0.000 0.500
0.500 0.500 0.000
0.500 0.500 0.500
0.000 0.000 0.000
0.000 0.000 0.500
0.333 0.667 0.750
0.667 0.333 0.250
0.333 0.667 0.113
0.333 0.667 0.387
0.667 0.333 0.613
0.667 0.333 0.887
```

Most intense lines, 15 to 90 degrees two-theta, in order of rising 2θ:
| d/Å | 2θ/deg | I (rel.) |
| --- | --- | --- |
| 4.599 | 19.30 | 15 |
| 3.201 | 27.87 | 92 |
| 2.938 | 30.42 | 100 |
| 2.614 | 34.31 | 36 |
| 2.024 | 44.78 | 16 |
| 1.910 | 47.62 | 29 |
| 1.792 | 50.95 | 24 |
| 1.640 | 56.08 | 40 |
| 1.601 | 57.59 | 29 |
| 1.227 | 77.88 | 30 |

For U3P2S, a DFT-relaxed cell (GGA-PBE, the Materials Project) gives the calculated X-ray powder pattern in this record (Cu Kα, 1.54184 Å).
No peak broadening, texture or thermal motion is included.

Cell and atoms:
```
U3P2S
1.0
3.921 0.000 0.000
-1.961 3.396 0.000
0.000 0.000 9.556
U P S
3 2 1
Direct
0.000 0.000 0.000
0.333 0.667 0.666
0.667 0.333 0.334
0.333 0.667 0.168
0.667 0.333 0.832
0.000 0.000 0.500
```

Most intense lines, 15 to 90 degrees two-theta, in order of rising 2θ:
| d/Å | 2θ/deg | I (rel.) |
| --- | --- | --- |
| 3.200 | 27.88 | 82 |
| 3.185 | 28.01 | 27 |
| 2.768 | 32.34 | 100 |
| 1.961 | 46.31 | 37 |
| 1.954 | 46.48 | 37 |
| 1.670 | 54.97 | 41 |
| 1.600 | 57.62 | 20 |
| 1.240 | 76.92 | 18 |
| 1.236 | 77.17 | 18 |
| 1.131 | 85.98 | 14 |

For TiN, a DFT-relaxed cell (GGA-PBE, the Materials Project) gives the calculated X-ray powder pattern in this record (Cu Kα, 1.54184 Å).
No peak broadening, texture or thermal motion is included.

Cell and atoms:
```
TiN
1.0
0.000 2.127 2.127
2.127 0.000 2.127
2.127 2.127 0.000
Ti N
1 1
Direct
0.000 0.000 0.000
0.500 0.500 0.500
```

Most intense lines, 15 to 90 degrees two-theta, in order of rising 2θ:
| d/Å | 2θ/deg | I (rel.) |
| --- | --- | --- |
| 2.456 | 36.59 | 67 |
| 2.127 | 42.51 | 100 |
| 1.504 | 61.68 | 56 |
| 1.282 | 73.90 | 25 |
| 1.228 | 77.78 | 17 |

For Cs2Se, a DFT-relaxed cell (GGA-PBE, the Materials Project) gives the calculated X-ray powder pattern in this record (Cu Kα, 1.54184 Å).
No peak broadening, texture or thermal motion is included.

Cell and atoms:
```
Cs2Se
1.0
2.871 1.657 11.143
-2.871 1.657 11.143
0.000 -3.315 11.143
Cs Se
4 2
Direct
0.122 0.122 0.122
0.296 0.296 0.296
0.704 0.704 0.704
0.878 0.878 0.878
0.413 0.413 0.413
0.587 0.587 0.587
```

Most intense lines, 15 to 90 degrees two-theta, in order of rising 2θ:
| d/Å | 2θ/deg | I (rel.) |
| --- | --- | --- |
| 4.273 | 20.79 | 37 |
| 3.990 | 22.28 | 49 |
| 3.444 | 25.87 | 92 |
| 2.871 | 31.16 | 100 |
| 2.774 | 32.27 | 34 |
| 2.205 | 40.93 | 27 |
| 1.829 | 49.87 | 24 |
| 1.749 | 52.32 | 26 |
| 1.657 | 55.44 | 21 |
| 1.359 | 69.14 | 18 |